# Tb5Pm8Sm
Simulated X-ray powder pattern, Cu Kα X-rays. Input: a cell relaxed with PBE.
Lines closer than 0.1° are merged.

Cell and atoms:
```
data_Tb5Pm8Sm
_cell_length_a 9.659
_cell_length_b 9.659
_cell_length_c 10.331
_cell_angle_alpha 90.00
_cell_angle_beta 90.00
_cell_angle_gamma 90.00
_space_group_name_H-M_alt 'I -4'
_space_group_IT_number 82
_space_group_name_Hall 'I -4'
loop_
_atom_site_label
_atom_site_fract_x
_atom_site_fract_y
_atom_site_fract_z
Tb1 0.000 0.000 0.000
Tb2 0.109 0.794 0.573
Pm1 0.070 0.675 0.900
Pm2 0.086 0.821 0.246
Sm1 0.000 0.500 0.250
```

Top 6 peaks for 2θ = 10–80°, most intense first:
2θ/deg	d_spacing	I/Imax	(hkl)
33.27	2.693	100	2 1 3
29.24	3.055	76	1 3 0
29.05	3.074	67	3 0 1
27.50	3.244	58	1 0 3
34.59	2.593	50	3 2 1
34.10	2.629	43	1 3 2

---

# TbPm5Sm4
Simulated X-ray powder pattern, Cu Kα X-rays. Input: a cell relaxed with PBE.
Lines closer than 0.1° are merged.

Cell and atoms:
```
data_TbPm5Sm4
_cell_length_a 3.630
_cell_length_b 9.600
_cell_length_c 10.283
_cell_angle_alpha 74.50
_cell_angle_beta 89.92
_cell_angle_gamma 79.14
_space_group_name_H-M_alt 'P -1'
_space_group_IT_number 2
_space_group_name_Hall '-P 1'
loop_
_atom_site_label
_atom_site_fract_x
_atom_site_fract_y
_atom_site_fract_z
Tb1 0.000 0.000 0.000
Pm1 0.000 0.000 0.500
Pm2 0.200 0.600 0.600
Pm3 0.400 0.199 0.198
Sm1 0.200 0.601 0.100
Sm2 0.400 0.199 0.702
```

Top 6 peaks for 2θ = 10–80°, most intense first:
2θ/deg	d_spacing	I/Imax	(hkl)
30.14	2.965	100	1 1 2
34.94	2.568	51	1 3 0
50.24	1.816	30	2 1 0
59.67	1.550	22	1 2 6
59.76	1.548	22	2 4 2
62.66	1.483	12	2 2 4

---

# TbPm5Sm2
Simulated X-ray powder pattern, Cu Kα X-rays. Input: a cell relaxed with PBE.
Lines closer than 0.1° are merged.

Cell and atoms:
```
data_TbPm5Sm2
_cell_length_a 7.273
_cell_length_b 14.550
_cell_length_c 5.128
_cell_angle_alpha 90.00
_cell_angle_beta 90.00
_cell_angle_gamma 90.00
_space_group_name_H-M_alt 'P b a m'
_space_group_IT_number 55
_space_group_name_Hall '-P 2 2ab'
loop_
_atom_site_label
_atom_site_fract_x
_atom_site_fract_y
_atom_site_fract_z
Tb1 0.000 0.000 0.000
Pm1 0.000 0.249 0.000
Pm2 0.000 0.500 0.000
Pm3 0.250 0.125 0.500
Sm1 0.249 0.876 0.500
```

Top 6 peaks for 2θ = 10–80°, most intense first:
2θ/deg	d_spacing	I/Imax	(hkl)
30.12	2.967	100	2 0 1
50.22	1.817	36	4 0 0
34.89	2.572	34	2 4 0
59.63	1.550	29	4 4 1
35.00	2.564	17	0 0 2
59.78	1.547	14	2 0 3

---

# Tb9PmSm2
Simulated X-ray powder pattern, Cu Kα X-rays. Input: a cell relaxed with PBE.
Lines closer than 0.1° are merged.

Cell and atoms:
```
data_Tb9PmSm2
_cell_length_a 11.3195
_cell_length_b 11.3195
_cell_length_c 3.5172
_cell_angle_alpha 90.00
_cell_angle_beta 90.00
_cell_angle_gamma 120.00
_space_group_name_H-M_alt 'P 6/m m m'
_space_group_IT_number 191
_space_group_name_Hall '-P 6 2'
loop_
_atom_site_label
_atom_site_fract_x
_atom_site_fract_y
_atom_site_fract_z
Tb1 0.0000 0.5000 0.0000
Tb2 0.1755 0.3510 0.5000
Pm1 0.0000 0.0000 0.0000
Sm1 0.3333 0.6667 0.0000
```

Top 6 peaks for 2θ = 10–80°, most intense first:
2θ/deg	d_spacing	I/Imax	(hkl)
31.62	2.830	100	2 2 0
31.30	2.858	54	2 0 1
62.14	1.494	30	2 2 2
29.91	2.987	24	1 1 1
56.11	1.639	19	4 2 1
45.09	2.011	19	4 0 1

---

# Tb9Pm4Sm11
Simulated X-ray powder pattern, Cu Kα X-rays. Input: a cell relaxed with PBE.
Lines closer than 0.1° are merged.

Cell and atoms:
```
data_Tb9Pm4Sm11
_cell_length_a 16.963
_cell_length_b 25.536
_cell_length_c 3.710
_cell_angle_alpha 90.00
_cell_angle_beta 90.00
_cell_angle_gamma 90.00
_space_group_name_H-M_alt 'C m m m'
_space_group_IT_number 65
_space_group_name_Hall '-C 2 2'
loop_
_atom_site_label
_atom_site_fract_x
_atom_site_fract_y
_atom_site_fract_z
Tb1 0.000 0.000 0.000
Tb2 0.101 0.236 0.000
Tb3 0.139 0.427 0.000
Pm1 0.155 0.101 0.000
Sm1 0.000 0.134 0.500
Sm2 0.000 0.341 0.500
Sm3 0.000 0.500 0.500
Sm4 0.210 0.000 0.500
Sm5 0.226 0.319 0.500
```

Top 6 peaks for 2θ = 10–80°, most intense first:
2θ/deg	d_spacing	I/Imax	(hkl)
32.02	2.795	100	4 0 1
29.75	3.003	63	4 6 0
58.49	1.578	16	4 6 2
30.68	2.915	15	3 3 1
49.10	1.855	12	0 0 2
32.44	2.760	8	6 2 0

---

# TbPm2Sm6
Simulated X-ray powder pattern, Cu Kα X-rays. Input: a cell relaxed with PBE.
Lines closer than 0.1° are merged.

Cell and atoms:
```
data_TbPm2Sm6
_cell_length_a 9.439
_cell_length_b 17.810
_cell_length_c 3.648
_cell_angle_alpha 90.00
_cell_angle_beta 90.00
_cell_angle_gamma 90.00
_space_group_name_H-M_alt 'C m m m'
_space_group_IT_number 65
_space_group_name_Hall '-C 2 2'
loop_
_atom_site_label
_atom_site_fract_x
_atom_site_fract_y
_atom_site_fract_z
Tb1 0.000 0.000 0.000
Pm1 0.000 0.181 0.500
Sm1 0.177 0.337 0.000
Sm2 0.183 0.500 0.500
```

Top 6 peaks for 2θ = 10–80°, most intense first:
2θ/deg	d_spacing	I/Imax	(hkl)
30.27	2.952	100	1 3 1
28.82	3.098	63	3 1 0
30.11	2.968	63	0 6 0
32.61	2.746	61	2 2 1
38.16	2.358	35	3 5 0
57.08	1.613	32	5 3 1

---

# Tb2PmSm7
Simulated X-ray powder pattern, Cu Kα X-rays. Input: a cell relaxed with PBE.
Lines closer than 0.1° are merged.

Cell and atoms:
```
data_Tb2PmSm7
_cell_length_a 5.564
_cell_length_b 7.087
_cell_length_c 17.003
_cell_angle_alpha 90.00
_cell_angle_beta 90.00
_cell_angle_gamma 90.00
_space_group_name_H-M_alt 'I m m m'
_space_group_IT_number 71
_space_group_name_Hall '-I 2 2'
loop_
_atom_site_label
_atom_site_fract_x
_atom_site_fract_y
_atom_site_fract_z
Tb1 0.000 0.000 0.199
Pm1 0.000 0.500 0.000
Sm1 0.000 0.000 0.000
Sm2 0.000 0.251 0.392
Sm3 0.000 0.500 0.199
```

Top 6 peaks for 2θ = 10–80°, most intense first:
2θ/deg	d_spacing	I/Imax	(hkl)
30.82	2.902	100	1 0 5
30.36	2.944	85	1 2 1
32.17	2.782	46	2 0 0
32.91	2.722	40	0 2 4
46.69	1.946	30	2 2 4
61.31	1.512	28	1 4 5

---

# Tb2Pm6Sm
Simulated X-ray powder pattern, Cu Kα X-rays. Input: a cell relaxed with PBE.
Lines closer than 0.1° are merged.

Cell and atoms:
```
data_Tb2Pm6Sm
_cell_length_a 3.633
_cell_length_b 8.893
_cell_length_c 9.594
_cell_angle_alpha 90.20
_cell_angle_beta 100.89
_cell_angle_gamma 90.13
_space_group_name_H-M_alt 'P -1'
_space_group_IT_number 2
_space_group_name_Hall '-P 1'
loop_
_atom_site_label
_atom_site_fract_x
_atom_site_fract_y
_atom_site_fract_z
Tb1 0.055 0.333 0.110
Pm1 0.166 0.999 0.332
Pm2 0.278 0.666 0.557
Pm3 0.390 0.335 0.780
Sm1 0.500 0.000 0.000
```

Top 6 peaks for 2θ = 10–80°, most intense first:
2θ/deg	d_spacing	I/Imax	(hkl)
30.16	2.964	100	1 1 1
34.92	2.570	34	1 2 -2
50.23	1.816	18	2 0 -1
59.66	1.550	18	2 -1 2
50.32	1.813	18	1 4 1
35.05	2.560	17	0 2 3